# KTaZnO4
Simulated powder diffractogram, Cu Kα (λ = 1.5418 Å). Input: a cell relaxed with PBE.
Neutral-atom scattering factors, no anomalous dispersion.

Cell and atoms:
```
KTaZnO4
1.0
5.626 0.000 0.000
0.000 5.770 0.000
-0.565 0.000 9.442
K Ta Zn O
2 2 2 8
direct
0.122 0.250 0.335
0.878 0.750 0.665
0.284 0.250 0.793
0.716 0.750 0.207
0.143 0.750 0.024
0.857 0.250 0.976
0.131 0.501 0.879
0.131 0.999 0.879
0.198 0.250 0.605
0.383 0.750 0.177
0.617 0.250 0.823
0.802 0.750 0.395
0.869 0.001 0.121
0.869 0.499 0.121
```

Main lines, sorted by position (2θ from 5° to 70°):
| 2theta | d/Å | I_rel |
| --- | --- | --- |
| 9.37 | 9.442 | 968 |
| 18.02 | 4.923 | 1000 |
| 18.84 | 4.709 | 655 |
| 22.09 | 4.025 | 481 |
| 24.36 | 3.654 | 365 |
| 28.52 | 3.130 | 447 |
| 29.78 | 3.000 | 434 |
| 31.00 | 2.885 | 379 |
| 36.33 | 2.473 | 449 |
| 44.99 | 2.015 | 342 |